No. 1
# TbSm2Sc2
Calculated X-ray diffraction stick pattern, λ = 1.5418 Å (Cu Kα). Input: a crystal structure in Alexandria, relaxed with GGA-PBE.

Principal peaks in the range 2θ = 10–90°, sorted by position:
| 2theta | Rel. int. | (hkl) |
| --- | --- | --- |
| 28.28 | 51 | 2 2 0 |
| 30.98 | 45 | 1 1 1 |
| 31.89 | 59 | 2 0 -2 |
| 32.70 | 97 | 1 5 -1 |
| 35.04 | 100 | 1 3 1 |
| 63.84 | 37 | 3 5 1 |

Structural model:
Lattice parameters (Å, degrees): 8.884 15.686 5.612 90.00 129.11 90.00
Space group C2/c (No. 15)
One atom of each set of equivalent atoms:
Tb: 0.000 0.150 0.250 x4
Sm: 0.248 0.063 0.998 x8
Sc: 0.000 0.256 0.750 x4
Sc: 0.000 0.371 0.250 x4

No. 2
# Li2CeGa2
Calculated X-ray diffraction stick pattern, λ = 1.5418 Å (Cu Kα). Input: a crystal structure in Alexandria, relaxed with GGA-PBE.

Principal peaks in the range 2θ = 10–90°, sorted by position:
| 2theta | Rel. int. | (hkl) |
| --- | --- | --- |
| 32.91 | 100 | 1 1 2 |
| 35.19 | 59 | 1 1 4 |
| 35.67 | 48 | 1 0 7 |
| 37.55 | 60 | 0 1 9 |
| 39.30 | 31 | 0 2 0 |
| 54.11 | 29 | 1 2 7 |

Structural model:
Lattice parameters (Å, degrees): 3.511 4.585 25.282 90.00 90.00 90.00
Space group Imma (No. 74)
One atom of each set of equivalent atoms:
Li: 0.000 0.250 0.196 x4
Li: 0.000 0.250 0.706 x4
Ce: 0.000 0.250 0.422 x4
Ga: 0.000 0.250 0.870 x4
Ga: 0.000 0.250 0.974 x4

No. 3
# Cs3K8H
Calculated X-ray diffraction stick pattern, λ = 1.5418 Å (Cu Kα). Input: a crystal structure in Alexandria, relaxed with GGA-PBE.

Principal peaks in the range 2θ = 10–90°, sorted by position:
| 2theta | Rel. int. | (hkl) |
| --- | --- | --- |
| 17.07 | 100 | 2 0 1 |
| 21.59 | 92 | 2 1 1 |
| 21.84 | 90 | 2 0 2 |
| 24.15 | 48 | 3 0 1 |
| 28.11 | 43 | 2 0 3 |
| 41.63 | 47 | 2 2 4 |

Structural model:
Lattice parameters (Å, degrees): 13.4966 13.4966 11.3441 90.00 90.00 120.00
Space group P6_3mc (No. 186)
One atom of each set of equivalent atoms:
Cs: 0.1498 0.2996 0.0000 x6
K: 0.0000 0.0000 0.2483 x2
K: 0.1086 0.5543 0.7060 x6
K: 0.2303 0.4606 0.4039 x6
K: 0.3333 0.6667 0.0649 x2
H: 0.3333 0.6667 0.5454 x2

No. 4
# TlSnBr5
Calculated X-ray diffraction stick pattern, λ = 1.5418 Å (Cu Kα). Input: a crystal structure in Alexandria, relaxed with GGA-PBE.

Principal peaks in the range 2θ = 10–90°, sorted by position:
| 2theta | Rel. int. | (hkl) |
| --- | --- | --- |
| 16.67 | 49 | 0 2 1 |
| 20.05 | 72 | 1 1 -2 |
| 26.28 | 100 | 1 3 1 |
| 27.85 | 70 | 1 1 -3 |
| 29.02 | 43 | 2 2 1 |
| 32.39 | 44 | 3 1 -1 |

Structural model:
Lattice parameters (Å, degrees): 8.506 12.674 10.063 90.00 103.66 90.00
Space group C2/c (No. 15)
One atom of each set of equivalent atoms:
Tl: 0.000 0.113 0.250 x4
Sn: 0.000 0.500 0.000 x4
Br: 0.000 0.405 0.250 x4
Br: 0.108 0.320 0.606 x8
Br: 0.201 0.068 0.973 x8

No. 5
# Pm7AuS5
Calculated X-ray diffraction stick pattern, λ = 1.5418 Å (Cu Kα). Input: a crystal structure in Alexandria, relaxed with GGA-PBE.

Principal peaks in the range 2θ = 10–90°, sorted by position:
| 2theta | Rel. int. | (hkl) |
| --- | --- | --- |
| 27.49 | 33 | 1 4 0 |
| 28.97 | 100 | 0 7 1 |
| 29.65 | 42 | 1 5 -1 |
| 30.93 | 94 | 1 2 -2 |
| 32.03 | 68 | 1 3 1 |
| 44.84 | 43 | 0 5 3 |

Structural model:
Lattice parameters (Å, degrees): 4.006 24.327 6.961 90.00 106.61 90.00
Space group P2_1/m (No. 11)
One atom of each set of equivalent atoms:
Pm: 0.033 0.250 0.063 x2
Pm: 0.136 0.537 0.274 x4
Pm: 0.315 0.175 0.630 x4
Pm: 0.411 0.606 0.823 x4
Au: 0.296 0.750 0.595 x2
S: 0.046 0.642 0.094 x4
S: 0.226 0.070 0.451 x4
S: 0.500 0.000 0.000 x2

No. 6
# PrEr2Te3
Calculated X-ray diffraction stick pattern, λ = 1.5418 Å (Cu Kα). Input: a crystal structure in Alexandria, relaxed with GGA-PBE.

Principal peaks in the range 2θ = 10–90°, sorted by position:
| 2theta | Rel. int. | (hkl) |
| --- | --- | --- |
| 28.70 | 100 | 1 0 3 |
| 28.83 | 51 | 0 2 0 |
| 41.13 | 76 | 1 2 3 |
| 41.30 | 19 | 2 0 0 |
| 51.15 | 21 | 2 2 0 |
| 75.19 | 19 | 2 4 0 |

Structural model:
Lattice parameters (Å, degrees): 4.372 6.194 13.276 90.00 90.00 90.00
Space group Immm (No. 71)
One atom of each set of equivalent atoms:
Pr: 0.000 0.000 0.000 x2
Er: 0.000 0.000 0.343 x4
Te: 0.000 0.500 0.000 x2
Te: 0.000 0.500 0.321 x4

No. 7
# Li3Mg4
Calculated X-ray diffraction stick pattern, λ = 1.5418 Å (Cu Kα). Input: a crystal structure in Alexandria, relaxed with GGA-PBE.

Principal peaks in the range 2θ = 10–90°, sorted by position:
| 2theta | Rel. int. | (hkl) |
| --- | --- | --- |
| 15.52 | 30 | 0 0 1 |
| 32.99 | 96 | 1 1 0 |
| 36.65 | 50 | 1 1 1 |
| 36.83 | 100 | 1 0 2 |
| 50.27 | 22 | 2 0 2 |
| 61.45 | 42 | 2 1 2 |

Structural model:
Lattice parameters (Å, degrees): 5.4300 5.4300 5.7091 90.00 90.00 120.00
Space group P6/mmm (No. 191)
One atom of each set of equivalent atoms:
Li: 0.0000 0.5000 0.0000 x3
Mg: 0.0000 0.0000 0.2535 x2
Mg: 0.3333 0.6667 0.5000 x2

No. 8
# SmFePt4
Calculated X-ray diffraction stick pattern, λ = 1.5418 Å (Cu Kα). Input: a crystal structure in Alexandria, relaxed with GGA-PBE.

Principal peaks in the range 2θ = 10–90°, sorted by position:
| 2theta | Rel. int. | (hkl) |
| --- | --- | --- |
| 34.87 | 100 | 2 1 1 |
| 36.29 | 27 | 1 1 2 |
| 39.14 | 36 | 0 0 3 |
| 41.78 | 81 | 2 1 2 |
| 45.28 | 34 | 0 2 0 |
| 61.36 | 19 | 0 2 3 |

Structural model:
Lattice parameters (Å, degrees): 7.685 4.006 6.904 90.00 90.00 90.00
Space group Pmma (No. 51)
One atom of each set of equivalent atoms:
Sm: 0.250 0.000 0.143 x2
Fe: 0.250 0.000 0.730 x2
Pt: 0.000 0.000 0.500 x2
Pt: 0.052 0.500 0.812 x4
Pt: 0.250 0.500 0.469 x2

No. 9
# PmCuGeH
Calculated X-ray diffraction stick pattern, λ = 1.5418 Å (Cu Kα). Input: a crystal structure in Alexandria, relaxed with GGA-PBE.

Principal peaks in the range 2θ = 10–90°, sorted by position:
| 2theta | Rel. int. | (hkl) |
| --- | --- | --- |
| 32.94 | 100 | 0 1 1 |
| 42.91 | 43 | 1 1 0 |
| 44.46 | 12 | 0 0 2 |
| 55.13 | 23 | 2 0 1 |
| 63.50 | 25 | 1 1 2 |
| 72.29 | 20 | 1 2 1 |

Structural model:
Lattice parameters (Å, degrees): 4.2155 4.2155 4.0755 90.00 90.00 120.00
Space group P3m1 (No. 156)
One atom of each set of equivalent atoms:
Pm: 0.0000 0.0000 0.0000 x1
Cu: 0.6667 0.3333 0.5339 x1
Ge: 0.3333 0.6667 0.4833 x1
H: 0.6667 0.3333 0.9465 x1

No. 10
# Ag5Hg
Calculated X-ray diffraction stick pattern, λ = 1.5418 Å (Cu Kα). Input: a crystal structure in Alexandria, relaxed with GGA-PBE.

Principal peaks in the range 2θ = 10–90°, sorted by position:
| 2theta | Rel. int. | (hkl) |
| --- | --- | --- |
| 37.02 | 100 | 1 3 1 |
| 42.08 | 17 | 0 6 0 |
| 43.35 | 16 | 2 0 0 |
| 43.59 | 16 | 0 0 2 |
| 73.57 | 13 | 1 9 1 |
| 75.35 | 12 | 3 3 1 |

Structural model:
Lattice parameters (Å, degrees): 4.175 12.885 4.152 90.00 90.00 90.00
Space group Cmmm (No. 65)
One atom of each set of equivalent atoms:
Ag: 0.000 0.000 0.000 x2
Ag: 0.000 0.168 0.500 x4
Ag: 0.000 0.330 0.000 x4
Hg: 0.000 0.500 0.500 x2

No. 11
# InNi6Sb
Calculated X-ray diffraction stick pattern, λ = 1.5418 Å (Cu Kα). Input: a crystal structure in Alexandria, relaxed with GGA-PBE.

Principal peaks in the range 2θ = 10–90°, sorted by position:
| 2theta | Rel. int. | (hkl) |
| --- | --- | --- |
| 23.83 | 10 | 0 0 2 |
| 41.91 | 100 | 1 1 2 |
| 48.78 | 47 | 2 0 0 |
| 71.46 | 28 | 2 2 0 |
| 86.34 | 11 | 1 1 6 |
| 86.48 | 22 | 3 1 2 |

Structural model:
Lattice parameters (Å, degrees): 3.732 3.732 7.477 90.00 90.00 90.00
Space group P4/mmm (No. 123)
One atom of each set of equivalent atoms:
In: 0.000 0.000 0.000 x1
Ni: 0.000 0.500 0.254 x4
Ni: 0.500 0.500 0.000 x1
Ni: 0.500 0.500 0.500 x1
Sb: 0.000 0.000 0.500 x1

No. 12
# Pr5Nd2ErTh
Calculated X-ray diffraction stick pattern, λ = 1.5418 Å (Cu Kα). Input: a crystal structure in Alexandria, relaxed with GGA-PBE.

Principal peaks in the range 2θ = 10–90°, sorted by position:
| 2theta | Rel. int. | (hkl) |
| --- | --- | --- |
| 30.28 | 16 | 1 1 3 |
| 30.91 | 100 | 1 5 2 |
| 32.40 | 21 | 0 8 0 |
| 32.55 | 30 | 2 0 0 |
| 33.74 | 20 | 0 0 4 |
| 57.06 | 18 | 3 5 2 |

Structural model:
Lattice parameters (Å, degrees): 5.501 22.131 10.628 90.00 90.00 90.00
Space group Cmcm (No. 63)
One atom of each set of equivalent atoms:
Pr: 0.000 0.000 0.000 x4
Pr: 0.000 0.129 0.250 x4
Pr: 0.000 0.223 0.558 x8
Pr: 0.000 0.499 0.750 x4
Nd: 0.000 0.387 0.002 x8
Er: 0.000 0.102 0.750 x4
Th: 0.000 0.290 0.250 x4

No. 13
# La4PrPb
Calculated X-ray diffraction stick pattern, λ = 1.5418 Å (Cu Kα). Input: a crystal structure in Alexandria, relaxed with GGA-PBE.

Principal peaks in the range 2θ = 10–90°, sorted by position:
| 2theta | Rel. int. | (hkl) |
| --- | --- | --- |
| 30.06 | 100 | 1 3 1 |
| 33.12 | 19 | 0 6 0 |
| 35.68 | 32 | 2 0 0 |
| 49.47 | 24 | 2 6 0 |
| 57.28 | 15 | 1 9 1 |
| 60.66 | 27 | 3 3 1 |

Structural model:
Lattice parameters (Å, degrees): 5.035 16.229 5.030 90.00 90.00 90.00
Space group Cmmm (No. 65)
One atom of each set of equivalent atoms:
La: 0.000 0.157 0.000 x4
La: 0.000 0.337 0.500 x4
Pr: 0.000 0.500 0.000 x2
Pb: 0.000 0.000 0.500 x2